This entry pairs a crystal structure of Ba3In2N4 with its simulated X-ray powder pattern. Radiation: Cu Kα, 1.54184 Å. Structure: a structure optimized by DFT (GGA-PBE).
Lines closer than 0.1° are merged.

Peak list (10 most intense, 10 to 90 degrees two-theta, low angle first)
two_theta, intensity
24.99, 66
28.52, 46
29.36, 100
29.83, 19
30.41, 47
32.34, 45
32.86, 31
35.49, 18
44.68, 20
52.37, 22

Structure:
```
Ba3In2N4
1.0
6.5101 0.0000 0.0000
0.0000 11.3912 0.0000
0.0000 0.0000 10.3241
Ba In N
12 8 16
Cartesian
0.7255 1.7774 0.8909 Ba
0.7255 3.9183 4.2711 Ba
1.6275 0.0000 4.1732 Ba
1.6275 5.6956 0.9888 Ba
2.5295 7.4730 4.2711 Ba
2.5295 9.6139 0.8909 Ba
3.9805 1.7774 9.4332 Ba
3.9805 3.9183 6.0530 Ba
4.8825 0.0000 6.1509 Ba
4.8825 5.6956 9.3353 Ba
5.7845 7.4730 6.0530 Ba
5.7845 9.6139 9.4332 Ba
0.9804 2.8478 7.7431 In
1.6275 0.0000 7.5758 In
1.6275 5.6956 7.9103 In
2.2746 8.5434 7.7431 In
4.2354 2.8478 2.5810 In
4.8825 0.0000 2.7483 In
4.8825 5.6956 2.4138 In
5.5297 8.5434 2.5810 In
0.0217 6.7579 3.4761 N
0.0217 10.3290 1.6859 N
0.7949 7.3834 9.0780 N
0.7949 9.7034 6.4082 N
2.4601 1.6878 6.4082 N
2.4601 4.0078 9.0780 N
3.2333 1.0623 1.6859 N
3.2333 4.6333 3.4761 N
3.2768 6.7579 6.8480 N
3.2768 10.3290 8.6382 N
4.0499 7.3834 1.2461 N
4.0499 9.7034 3.9159 N
5.7152 1.6878 3.9159 N
5.7152 4.0078 1.2461 N
6.4883 1.0623 8.6382 N
6.4883 4.6333 6.8480 N
```